Diffraction record for Gd3BiO3. The powder XRD pattern is theoretical, not measured: it uses a PBE-relaxed structure and Cu Kα X-rays.
Kinematic intensities with the Lorentz-polarization factor, no thermal factor.

Structure:
```
data_Gd3BiO3
_space_group_name_H-M_alt 'C 1 2/m 1'
_space_group_IT_number 12
_space_group_name_Hall '-C 2y'
_cell_length_a 13.2707
_cell_length_b 3.9229
_cell_length_c 11.8626
_cell_angle_alpha 90.00
_cell_angle_beta 118.47
_cell_angle_gamma 90.00
loop_
_atom_site_label
_atom_site_type_symbol
_atom_site_fract_x
_atom_site_fract_y
_atom_site_fract_z
Gd1 Gd 0.1212 0.0000 0.4403
Gd2 Gd 0.1286 0.0000 0.9024
Gd3 Gd 0.1544 0.5000 0.2049
Bi1 Bi 0.1180 0.5000 0.6782
O1 O 0.0632 0.0000 0.1937
O2 O 0.1621 0.5000 0.0130
O3 O 0.1896 0.5000 0.4083
```

Peak list (6 most intense, 2θ = 5–70°, in order of rising 2θ)
| Position (°2θ) | I/Imax | (hkl) |
| --- | --- | --- |
| 30.15 | 53.9 | 2 0 -4 |
| 30.65 | 54.6 | 4 0 0 |
| 31.09 | 100.0 | 3 1 -2 |
| 31.60 | 90.6 | 1 1 2 |
| 46.29 | 23.0 | 0 2 0 |
| 56.54 | 19.6 | 4 2 0 |

***

Diffraction record for Pr2Ge4IrPt. The powder XRD pattern is theoretical, not measured: it uses a PBE-relaxed structure and Cu Kα X-rays.
Kinematic intensities with the Lorentz-polarization factor, no thermal factor.

Structure:
```
data_Pr2Ge4IrPt
_space_group_name_H-M_alt 'A m m 2'
_space_group_IT_number 38
_space_group_name_Hall 'A 2 -2'
_cell_length_a 4.4747
_cell_length_b 4.3661
_cell_length_c 17.1794
_cell_angle_alpha 90.00
_cell_angle_beta 90.00
_cell_angle_gamma 90.00
loop_
_atom_site_label
_atom_site_type_symbol
_atom_site_fract_x
_atom_site_fract_y
_atom_site_fract_z
Pr1 Pr 0.0000 0.0000 0.0000
Pr2 Pr 0.5000 0.0000 0.2160
Ge1 Ge 0.0000 0.0000 0.3583
Ge2 Ge 0.0000 0.0000 0.6470
Ge3 Ge 0.5000 0.0000 0.5733
Ge4 Ge 0.5000 0.0000 0.8547
Ir1 Ir 0.0000 0.0000 0.7885
Pt1 Pt 0.5000 0.0000 0.4303
```

Peak list (6 most intense, 2θ = 5–70°, in order of rising 2θ)
| Position (°2θ) | I/Imax | (hkl) |
| --- | --- | --- |
| 10.30 | 61.3 | 0 0 2 |
| 29.04 | 100.0 | 1 1 1 |
| 32.64 | 77.3 | 1 1 3 |
| 33.18 | 90.1 | 0 1 5 |
| 40.31 | 59.4 | 2 0 0 |
| 41.36 | 55.3 | 0 2 0 |

***

Which formula does entry 2 have? Pr2Ge4IrPt